# TbHoTm2S6
Theoretical X-ray diffraction stick pattern, Cu Kα (λ = 1.5418 Å). Input: a DFT-relaxed cell (PBE, Alexandria).
Neutral-atom scattering factors, no anomalous dispersion.

Crystal structure
a = 7.3006 Å, b = 7.3006 Å, c = 7.3006 Å
α = 56.03°, β = 56.03°, γ = 56.03°
Fractional positions:
Tb 0.0000 0.0000 0.0000
Ho 0.4989 0.4989 0.4989
Tm 0.2988 0.2988 0.2988
Tm 0.7995 0.7995 0.7995
S 0.0929 0.4070 0.6931
S 0.1969 0.9031 0.5920
S 0.4070 0.6931 0.0929
S 0.5920 0.1969 0.9031
S 0.6931 0.0929 0.4070
S 0.9031 0.5920 0.1969

Largest 8 diffraction maxima, low angle first, 10 to 90 degrees two-theta:
d/Å  Rel. int.
4.990  42
3.637  96
3.429  100
2.495  45
2.286  83
2.018  45
1.980  48
1.757  25



# TbY3Ho4S8
Theoretical X-ray diffraction stick pattern, Cu Kα (λ = 1.5418 Å). Input: a DFT-relaxed cell (PBE, Alexandria).
Neutral-atom scattering factors, no anomalous dispersion.

Crystal structure
a = 7.8095 Å, b = 7.8095 Å, c = 7.8095 Å
α = 59.97°, β = 59.97°, γ = 59.97°
Fractional positions:
Tb 0.0000 0.0000 0.0000
Y 0.0000 0.5000 0.5000
Y 0.5000 0.0000 0.5000
Y 0.5000 0.5000 0.0000
Ho 0.0000 0.0000 0.5000
Ho 0.0000 0.5000 0.0000
Ho 0.5000 0.0000 0.0000
Ho 0.5000 0.5000 0.5000
S 0.2488 0.2488 0.2488
S 0.2491 0.7485 0.7485
S 0.2515 0.2515 0.7509
S 0.2515 0.7509 0.2515
S 0.7485 0.2491 0.7485
S 0.7485 0.7485 0.2491
S 0.7509 0.2515 0.2515
S 0.7512 0.7512 0.7512

Largest 8 diffraction maxima, low angle first, 10 to 90 degrees two-theta:
d/Å  Rel. int.
3.187  70
2.760  100
1.952  71
1.665  34
1.594  24
1.267  14
1.234  31
1.127  24



# Ho3TeS3
Theoretical X-ray diffraction stick pattern, Cu Kα (λ = 1.5418 Å). Input: a DFT-relaxed cell (PBE, Alexandria).
Neutral-atom scattering factors, no anomalous dispersion.

Crystal structure
a = 8.4290 Å, b = 8.4290 Å, c = 8.4290 Å
α = 55.56°, β = 55.56°, γ = 55.56°
Fractional positions:
Ho 0.1098 0.7097 0.4777
Ho 0.2903 0.5223 0.8902
Ho 0.4777 0.1098 0.7097
Ho 0.5223 0.8902 0.2903
Ho 0.7097 0.4777 0.1098
Ho 0.8902 0.2903 0.5223
Te 0.3294 0.3294 0.3294
Te 0.6706 0.6706 0.6706
S 0.1107 0.3810 0.8384
S 0.1616 0.8893 0.6190
S 0.3810 0.8384 0.1107
S 0.6190 0.1616 0.8893
S 0.8384 0.1107 0.3810
S 0.8893 0.6190 0.1616

Largest 8 diffraction maxima, low angle first, 10 to 90 degrees two-theta:
d/Å  Rel. int.
6.482  23
3.552  16
3.438  100
2.635  50
2.500  23
2.368  17
2.268  37
1.638  18